Diffraction record for Na5Bi2Pd. The powder X-ray diffraction pattern is theoretical, not measured: it uses a crystal structure in Alexandria, relaxed with PBE and Cu Kα, 1.54184 Å.
Kinematic intensities with the Lorentz-polarization factor, no thermal factor.

Main lines, by angle (5° ≤ 2θ ≤ 70°):
2theta  d_spacing  Rel. int.
18.03  4.921  18
19.27  4.607  37
19.79  4.485  100
23.60  3.770  25
33.70  2.660  64
37.47  2.400  45
38.47  2.340  18
39.39  2.288  18
41.59  2.171  16
50.53  1.806  20
51.27  1.782  19
62.77  1.480  20

Atomic structure:
abc: 5.319 5.319 19.684
angles: 90.00 90.00 120.00
Sites, in units of the cell vectors:
Na: 0.000 0.000 0.161
Na: 0.000 0.000 0.339
Na: 0.000 0.000 0.661
Na: 0.000 0.000 0.839
Na: 0.333 0.667 0.052
Na: 0.333 0.667 0.250
Na: 0.333 0.667 0.448
Na: 0.667 0.333 0.552
Na: 0.667 0.333 0.750
Na: 0.667 0.333 0.948
Bi: 0.333 0.667 0.615
Bi: 0.333 0.667 0.885
Bi: 0.667 0.333 0.115
Bi: 0.667 0.333 0.385
Pd: 0.333 0.667 0.750
Pd: 0.667 0.333 0.250

Diffraction record for Na3Bi4Pd8. The powder X-ray diffraction pattern is theoretical, not measured: it uses a crystal structure in Alexandria, relaxed with PBE and Cu Kα, 1.54184 Å.
Kinematic intensities with the Lorentz-polarization factor, no thermal factor.

Main lines, by angle (5° ≤ 2θ ≤ 70°):
2theta  d_spacing  Rel. int.
11.37  7.780  8
13.14  6.737  12
22.86  3.890  57
34.59  2.593  15
37.77  2.382  100
39.57  2.278  14
44.07  2.055  10
44.61  2.031  52
54.48  1.684  9
59.84  1.546  9
61.56  1.507  9
68.19  1.375  29

Atomic structure:
abc: 9.528 9.528 9.528
angles: 60.00 60.00 60.00
Sites, in units of the cell vectors:
Na: 0.228 0.228 0.772
Na: 0.228 0.772 0.228
Na: 0.228 0.772 0.772
Na: 0.772 0.228 0.228
Na: 0.772 0.228 0.772
Na: 0.772 0.772 0.228
Bi: 0.000 0.000 0.000
Bi: 0.000 0.000 0.500
Bi: 0.000 0.500 0.000
Bi: 0.000 0.500 0.500
Bi: 0.500 0.000 0.000
Bi: 0.500 0.000 0.500
Bi: 0.500 0.500 0.000
Bi: 0.500 0.500 0.500
Pd: 0.140 0.620 0.620
Pd: 0.171 0.171 0.171
Pd: 0.171 0.171 0.488
Pd: 0.171 0.488 0.171
Pd: 0.380 0.380 0.380
Pd: 0.380 0.380 0.860
Pd: 0.380 0.860 0.380
Pd: 0.488 0.171 0.171
Pd: 0.512 0.829 0.829
Pd: 0.620 0.140 0.620
Pd: 0.620 0.620 0.140
Pd: 0.620 0.620 0.620
Pd: 0.829 0.512 0.829
Pd: 0.829 0.829 0.512
Pd: 0.829 0.829 0.829
Pd: 0.860 0.380 0.380

Diffraction record for NaBi2Pd9. The powder X-ray diffraction pattern is theoretical, not measured: it uses a crystal structure in Alexandria, relaxed with PBE and Cu Kα, 1.54184 Å.
Kinematic intensities with the Lorentz-polarization factor, no thermal factor.

Main lines, by angle (5° ≤ 2θ ≤ 70°):
2theta  d_spacing  Rel. int.
7.30  12.116  13
14.62  6.058  5
22.75  3.908  4
26.12  3.412  7
31.52  2.838  2
34.09  2.630  4
38.03  2.366  100
43.29  2.090  3
43.86  2.064  34
44.89  2.019  15
63.76  1.460  11
64.56  1.444  20

Atomic structure:
abc: 4.129 4.129 12.116
angles: 90.00 90.00 90.00
Sites, in units of the cell vectors:
Na: 0.000 0.000 0.000
Bi: 0.000 0.000 0.323
Bi: 0.000 0.000 0.677
Pd: 0.000 0.500 0.164
Pd: 0.000 0.500 0.500
Pd: 0.000 0.500 0.836
Pd: 0.500 0.000 0.164
Pd: 0.500 0.000 0.500
Pd: 0.500 0.000 0.836
Pd: 0.500 0.500 0.000
Pd: 0.500 0.500 0.336
Pd: 0.500 0.500 0.664